For Pr10Tl3Pb3, a DFT-relaxed cell (GGA-PBE, Alexandria) gives the theoretical powder diffraction line list in this record (copper Kα).
Neutral-atom scattering factors, no anomalous dispersion.

Structure:
Unit cell a=9.4157 b=9.4157 c=7.0215 alpha=90.00 beta=90.00 gamma=120.00
Space group P-62m (No. 189)
Asymmetric unit:
Pr 0.0000 0.2359 0.0000 x3
Pr 0.0000 0.7601 0.5000 x3
Pr 0.3333 0.6667 0.2482 x4
Tl 0.0000 0.5993 0.0000 x3
Pb 0.0000 0.3961 0.5000 x3

Peak list (8 most intense, 10 to 90 degrees two-theta, in order of rising 2θ)
| 2theta | I/Imax |
| --- | --- |
| 25.4 | 15.1 |
| 29.0 | 13.5 |
| 31.7 | 100.0 |
| 33.0 | 20.5 |
| 33.7 | 8.2 |
| 42.0 | 13.2 |
| 48.9 | 17.8 |
| 62.8 | 13.2 |